Entry 1:
# PbC2O6
Computed X-ray powder pattern, copper Kα. Input: a DFT-relaxed cell (GGA-PBE, the Materials Project).
No peak broadening, texture or thermal motion is included.

```
data_PbC2O6
_chemical_formula_sum 'Pb4 C8 O24'
_symmetry_space_group_name_H-M 'P n m a'
_symmetry_Int_Tables_number 62
_cell_length_a 9.057
_cell_length_b 7.867
_cell_length_c 8.517
_cell_angle_alpha 90.00
_cell_angle_beta 90.00
_cell_angle_gamma 90.00
loop_
_symmetry_equiv_pos_as_xyz
'x,y,z'
'-x,-y,-z'
'-x+1/2,-y,z+1/2'
'x+1/2,y,-z+1/2'
'x+1/2,-y+1/2,-z+1/2'
'-x+1/2,y+1/2,z+1/2'
'-x,y+1/2,-z'
'x,-y+1/2,z'
loop_
_atom_site_label
_atom_site_type_symbol
_atom_site_fract_x
_atom_site_fract_y
_atom_site_fract_z
_atom_site_occupancy
Pb1 Pb 0.102 0.250 0.013 1
C1 C 0.148 0.650 0.252 1
O1 O 0.028 0.250 0.436 1
O2 O 0.068 0.577 0.149 1
O3 O 0.071 0.750 0.664 1
O4 O 0.229 0.576 0.351 1
```

Largest 10 diffraction maxima, low angle first, 2θ = 5–70°:
| (hkl) | 2θ/deg | d [Å] | I_rel |
| --- | --- | --- | --- |
| 1 0 1 | 14.27 | 6.205 | 98 |
| 1 1 1 | 18.21 | 4.872 | 81 |
| 0 2 0 | 22.63 | 3.929 | 65 |
| 1 2 1 | 26.84 | 3.322 | 33 |
| 2 1 2 | 30.97 | 2.887 | 100 |
| 3 1 1 | 33.50 | 2.675 | 37 |
| 2 3 0 | 39.74 | 2.268 | 23 |
| 3 1 3 | 45.34 | 2.000 | 24 |
| 3 3 1 | 47.13 | 1.928 | 24 |
| 0 2 4 | 48.62 | 1.873 | 32 |


Entry 2:
# PbCO3
Computed X-ray powder pattern, copper Kα. Input: a DFT-relaxed cell (GGA-PBE, the Materials Project).
No peak broadening, texture or thermal motion is included.

```
data_PbCO3
_chemical_formula_sum 'Pb4 C4 O12'
_symmetry_space_group_name_H-M 'P 1 21/c 1'
_symmetry_Int_Tables_number 14
_cell_length_a 5.260
_cell_length_b 8.565
_cell_length_c 6.281
_cell_angle_alpha 90.00
_cell_angle_beta 90.08
_cell_angle_gamma 90.00
loop_
_symmetry_equiv_pos_as_xyz
'x,y,z'
'-x,-y,-z'
'-x,y+1/2,-z+1/2'
'x,-y+1/2,z+1/2'
loop_
_atom_site_label
_atom_site_type_symbol
_atom_site_fract_x
_atom_site_fract_y
_atom_site_fract_z
_atom_site_occupancy
Pb1 Pb 0.248 0.080 0.251 1
C1 C 0.258 0.728 0.406 1
O1 O 0.045 0.696 0.906 1
O2 O 0.257 0.575 0.396 1
O3 O 0.473 0.698 0.906 1
```

Largest 10 diffraction maxima, low angle first, 2θ = 5–70°:
| (hkl) | 2θ/deg | d [Å] | I_rel |
| --- | --- | --- | --- |
| 1 1 1 | 24.40 | 3.649 | 100 |
| 0 2 1 | 25.17 | 3.538 | 47 |
| 0 0 2 | 28.42 | 3.141 | 20 |
| 2 0 0 | 34.09 | 2.630 | 15 |
| 1 1 2 | 34.88 | 2.572 | 16 |
| 1 3 0 | 35.78 | 2.509 | 27 |
| 2 2 -1 | 42.84 | 2.111 | 30 |
| 0 4 1 | 44.71 | 2.027 | 15 |
| 2 0 2 | 44.96 | 2.016 | 15 |
| 1 1 3 | 47.96 | 1.897 | 21 |


Entry 3:
# PbC4O5
Computed X-ray powder pattern, copper Kα. Input: a DFT-relaxed cell (GGA-PBE, the Materials Project).
No peak broadening, texture or thermal motion is included.

```
data_PbC4O5
_chemical_formula_sum 'Pb4 C16 O20'
_symmetry_space_group_name_H-M 'P 1 21/c 1'
_symmetry_Int_Tables_number 14
_cell_length_a 9.997
_cell_length_b 4.010
_cell_length_c 16.102
_cell_angle_alpha 90.00
_cell_angle_beta 120.69
_cell_angle_gamma 90.00
loop_
_symmetry_equiv_pos_as_xyz
'x,y,z'
'-x,-y,-z'
'-x,y+1/2,-z+1/2'
'x,-y+1/2,z+1/2'
loop_
_atom_site_label
_atom_site_type_symbol
_atom_site_fract_x
_atom_site_fract_y
_atom_site_fract_z
_atom_site_occupancy
Pb1 Pb 0.175 0.239 0.213 1
C1 C 0.136 0.060 0.418 1
C2 C 0.286 0.189 0.490 1
C3 C 0.409 0.208 0.056 1
C4 C 0.450 0.574 0.364 1
O1 O 0.068 0.168 0.330 1
O2 O 0.074 0.656 0.946 1
O3 O 0.221 0.739 0.148 1
O4 O 0.319 0.699 0.344 1
O5 O 0.465 0.167 0.818 1
```

Largest 10 diffraction maxima, low angle first, 2θ = 5–70°:
| (hkl) | 2θ/deg | d [Å] | I_rel |
| --- | --- | --- | --- |
| 1 0 0 | 10.29 | 8.598 | 38 |
| 0 0 2 | 12.79 | 6.924 | 100 |
| 2 0 -2 | 17.89 | 4.958 | 44 |
| 2 0 -4 | 23.36 | 3.808 | 55 |
| 1 1 0 | 24.50 | 3.634 | 45 |
| 1 1 -2 | 25.10 | 3.548 | 42 |
| 2 1 0 | 30.49 | 2.932 | 22 |
| 1 1 -4 | 31.62 | 2.830 | 35 |
| 2 1 2 | 37.23 | 2.415 | 27 |
| 5 0 -4 | 45.36 | 2.000 | 24 |


Entry 4:
# PbCO3
Computed X-ray powder pattern, copper Kα. Input: a DFT-relaxed cell (GGA-PBE, the Materials Project).
No peak broadening, texture or thermal motion is included.

```
data_PbCO3
_chemical_formula_sum 'Pb4 C4 O12'
_symmetry_space_group_name_H-M 'P n m a'
_symmetry_Int_Tables_number 62
_cell_length_a 6.283
_cell_length_b 5.226
_cell_length_c 8.619
_cell_angle_alpha 90.00
_cell_angle_beta 90.00
_cell_angle_gamma 90.00
loop_
_symmetry_equiv_pos_as_xyz
'x,y,z'
'-x,-y,-z'
'-x+1/2,-y,z+1/2'
'x+1/2,y,-z+1/2'
'x+1/2,-y+1/2,-z+1/2'
'-x+1/2,y+1/2,z+1/2'
'-x,y+1/2,-z'
'x,-y+1/2,z'
loop_
_atom_site_label
_atom_site_type_symbol
_atom_site_fract_x
_atom_site_fract_y
_atom_site_fract_z
_atom_site_occupancy
Pb1 Pb 0.248 0.250 0.082 1
C1 C 0.082 0.250 0.744 1
O1 O 0.085 0.034 0.819 1
O2 O 0.087 0.250 0.593 1
```

Largest 10 diffraction maxima, low angle first, 2θ = 5–70°:
| (hkl) | 2θ/deg | d [Å] | I_rel |
| --- | --- | --- | --- |
| 1 1 1 | 24.44 | 3.642 | 100 |
| 1 0 2 | 25.06 | 3.554 | 47 |
| 2 0 0 | 28.41 | 3.141 | 18 |
| 0 2 0 | 34.32 | 2.613 | 15 |
| 2 1 1 | 34.91 | 2.570 | 18 |
| 0 1 3 | 35.66 | 2.518 | 27 |
| 1 2 2 | 42.96 | 2.105 | 30 |
| 2 2 0 | 45.13 | 2.009 | 15 |
| 2 1 3 | 46.21 | 1.965 | 27 |
| 3 1 1 | 47.97 | 1.896 | 21 |


Entry 5:
# Pb2CS2O6
Computed X-ray powder pattern, copper Kα. Input: a DFT-relaxed cell (GGA-PBE, the Materials Project).
No peak broadening, texture or thermal motion is included.

```
data_Pb2CS2O6
_chemical_formula_sum 'Pb8 C4 S8 O24'
_symmetry_space_group_name_H-M 'P n m a'
_symmetry_Int_Tables_number 62
_cell_length_a 16.583
_cell_length_b 8.908
_cell_length_c 4.677
_cell_angle_alpha 90.00
_cell_angle_beta 90.00
_cell_angle_gamma 90.00
loop_
_symmetry_equiv_pos_as_xyz
'x,y,z'
'-x,-y,-z'
'-x+1/2,-y,z+1/2'
'x+1/2,y,-z+1/2'
'x+1/2,-y+1/2,-z+1/2'
'-x+1/2,y+1/2,z+1/2'
'-x,y+1/2,-z'
'x,-y+1/2,z'
loop_
_atom_site_label
_atom_site_type_symbol
_atom_site_fract_x
_atom_site_fract_y
_atom_site_fract_z
_atom_site_occupancy
Pb1 Pb 0.137 0.014 0.085 1
C1 C 0.212 0.250 0.621 1
S1 S 0.003 0.250 0.575 1
S2 S 0.113 0.750 0.570 1
O1 O 0.013 0.111 0.748 1
O2 O 0.061 0.250 0.330 1
O3 O 0.187 0.250 0.886 1
O4 O 0.225 0.122 0.498 1
```

Largest 10 diffraction maxima, low angle first, 2θ = 5–70°:
| (hkl) | 2θ/deg | d [Å] | I_rel |
| --- | --- | --- | --- |
| 1 0 1 | 19.72 | 4.501 | 37 |
| 0 2 0 | 19.94 | 4.454 | 57 |
| 4 0 0 | 21.43 | 4.146 | 60 |
| 2 0 1 | 21.82 | 4.073 | 38 |
| 3 0 1 | 24.94 | 3.570 | 77 |
| 1 2 1 | 28.19 | 3.166 | 100 |
| 4 2 0 | 29.43 | 3.035 | 83 |
| 2 2 1 | 29.72 | 3.006 | 52 |
| 3 2 1 | 32.13 | 2.786 | 63 |
| 7 2 1 | 47.61 | 1.910 | 57 |


Entry 6:
# PrCO4
Computed X-ray powder pattern, copper Kα. Input: a DFT-relaxed cell (GGA-PBE, the Materials Project).
No peak broadening, texture or thermal motion is included.

```
data_PrCO4
_chemical_formula_sum 'Pr4 C4 O16'
_symmetry_space_group_name_H-M 'P n m a'
_symmetry_Int_Tables_number 62
_cell_length_a 7.450
_cell_length_b 4.995
_cell_length_c 8.448
_cell_angle_alpha 90.00
_cell_angle_beta 90.00
_cell_angle_gamma 90.00
loop_
_symmetry_equiv_pos_as_xyz
'x,y,z'
'-x,-y,-z'
'-x+1/2,-y,z+1/2'
'x+1/2,y,-z+1/2'
'x+1/2,-y+1/2,-z+1/2'
'-x+1/2,y+1/2,z+1/2'
'-x,y+1/2,-z'
'x,-y+1/2,z'
loop_
_atom_site_label
_atom_site_type_symbol
_atom_site_fract_x
_atom_site_fract_y
_atom_site_fract_z
_atom_site_occupancy
Pr1 Pr 0.148 0.250 0.168 1
C1 C 0.196 0.250 0.820 1
O1 O 0.037 0.750 0.599 1
O2 O 0.150 0.025 0.886 1
O3 O 0.206 0.750 0.195 1
```

Largest 10 diffraction maxima, low angle first, 2θ = 5–70°:
| (hkl) | 2θ/deg | d [Å] | I_rel |
| --- | --- | --- | --- |
| 1 0 1 | 15.86 | 5.587 | 40 |
| 0 1 1 | 20.66 | 4.300 | 100 |
| 1 1 1 | 23.89 | 3.724 | 64 |
| 1 0 2 | 24.22 | 3.674 | 36 |
| 2 0 1 | 26.15 | 3.408 | 48 |
| 2 1 0 | 29.92 | 2.986 | 67 |
| 1 1 3 | 38.64 | 2.330 | 49 |
| 1 2 2 | 43.83 | 2.066 | 43 |
| 2 2 1 | 45.00 | 2.015 | 46 |
| 3 0 3 | 48.90 | 1.862 | 39 |